Simulated X-ray diffraction stick pattern of ZrTe4O12 for Cu Kα, 1.54184 Å, from a PBE-relaxed structure.
Intensities are scaled so that the largest is 100.

Cell and atoms:
Cell lengths 6.7783, 6.7783, 7.6489 Å; angles 123.45, 123.45, 71.93 degrees
Fractional positions:
Zr 0.0000 0.0000 0.0000
Te 0.0000 0.5000 0.0000
Te 0.0000 0.5000 0.5000
Te 0.5000 0.0000 0.0000
Te 0.5000 0.0000 0.5000
O 0.0025 0.6096 0.2912
O 0.2144 0.2144 0.3849
O 0.2186 0.7525 0.1585
O 0.2416 0.2416 0.0645
O 0.2475 0.7814 0.8415
O 0.3904 0.9975 0.7088
O 0.6096 0.0025 0.2912
O 0.7525 0.2186 0.1585
O 0.7584 0.7584 0.9355
O 0.7814 0.2475 0.8415
O 0.7856 0.7856 0.6151
O 0.9975 0.3904 0.7088

The 10 most intense peaks (2θ = 15–90°), most intense first:
2θ 32.47, d 2.758, I = 100
2θ 22.13, d 4.017, I = 96
2θ 22.33, d 3.981, I = 95
2θ 31.64, d 2.828, I = 93
2θ 23.26, d 3.824, I = 70
2θ 31.96, d 2.800, I = 51
2θ 32.69, d 2.740, I = 51
2θ 57.18, d 1.611, I = 47
2θ 45.57, d 1.990, I = 35
2θ 45.14, d 2.009, I = 34

Simulated X-ray diffraction stick pattern of ZrTeO6 for Cu Kα, 1.54184 Å, from a PBE-relaxed structure.
Intensities are scaled so that the largest is 100.

Cell and atoms:
Cell lengths 5.6571, 5.6571, 5.6571 Å; angles 59.95, 59.95, 59.95 degrees
Fractional positions:
Zr 0.0000 0.0000 0.0000
Te 0.5000 0.5000 0.5000
O 0.2589 0.7388 0.2634
O 0.2612 0.7366 0.7411
O 0.2634 0.2589 0.7388
O 0.7366 0.7411 0.2612
O 0.7388 0.2634 0.2589
O 0.7411 0.2612 0.7366

The 10 most intense peaks (2θ = 15–90°), most intense first:
2θ 22.23, d 3.999, I = 100
2θ 31.64, d 2.827, I = 42
2θ 51.07, d 1.788, I = 38
2θ 45.36, d 1.999, I = 22
2θ 70.67, d 1.333, I = 17
2θ 56.36, d 1.632, I = 17
2θ 66.09, d 1.414, I = 12
2θ 88.07, d 1.109, I = 8
2θ 75.13, d 1.264, I = 8
2θ 39.01, d 2.309, I = 7

Simulated X-ray diffraction stick pattern of TmTh4O10 for Cu Kα, 1.54184 Å, from a PBE-relaxed structure.
Intensities are scaled so that the largest is 100.

Cell and atoms:
Cell lengths 16.1409, 16.1409, 16.1409 Å; angles 14.06, 14.06, 14.06 degrees
Fractional positions:
Tm 0.0000 0.0000 0.0000
Th 0.2007 0.2007 0.2007
Th 0.3978 0.3978 0.3978
Th 0.6022 0.6022 0.6022
Th 0.7993 0.7993 0.7993
O 0.0479 0.0479 0.0479
O 0.1497 0.1497 0.1497
O 0.2516 0.2516 0.2516
O 0.3476 0.3476 0.3476
O 0.4489 0.4489 0.4489
O 0.5511 0.5511 0.5511
O 0.6524 0.6524 0.6524
O 0.7484 0.7484 0.7484
O 0.8503 0.8503 0.8503
O 0.9521 0.9521 0.9521

The 10 most intense peaks (2θ = 15–90°), most intense first:
2θ 27.68, d 3.223, I = 100
2θ 32.14, d 2.785, I = 48
2θ 45.94, d 1.976, I = 34
2θ 27.92, d 3.196, I = 32
2θ 46.25, d 1.963, I = 32
2θ 54.62, d 1.680, I = 31
2θ 54.48, d 1.684, I = 16
2θ 54.89, d 1.673, I = 15
2θ 73.95, d 1.282, I = 13
2θ 85.27, d 1.138, I = 11

Simulated X-ray diffraction stick pattern of ThU8O18 for Cu Kα, 1.54184 Å, from a PBE-relaxed structure.
Intensities are scaled so that the largest is 100.

Cell and atoms:
Cell lengths 6.6687, 6.6699, 8.6108 Å; angles 82.58, 75.04, 80.41 degrees
Fractional positions:
Th 0.0000 0.0000 0.0000
U 0.1113 0.2236 0.5529
U 0.2244 0.4437 0.1119
U 0.3344 0.6654 0.6655
U 0.4439 0.8875 0.2247
U 0.5561 0.1125 0.7753
U 0.6656 0.3346 0.3345
U 0.7756 0.5563 0.8881
U 0.8887 0.7764 0.4471
O 0.0287 0.5561 0.6375
O 0.0855 0.6616 0.9145
O 0.1412 0.7737 0.1979
O 0.1947 0.8894 0.4720
O 0.2549 0.0007 0.7454
O 0.3102 0.1140 0.0286
O 0.3599 0.2233 0.3069
O 0.4174 0.3344 0.5830
O 0.4729 0.4458 0.8605
O 0.5271 0.5542 0.1395
O 0.5826 0.6656 0.4170
O 0.6401 0.7767 0.6931
O 0.6898 0.8860 0.9714
O 0.7451 0.9993 0.2546
O 0.8053 0.1106 0.5280
O 0.8588 0.2263 0.8021
O 0.9145 0.3384 0.0855
O 0.9713 0.4439 0.3625

The 10 most intense peaks (2θ = 15–90°), most intense first:
2θ 28.39, d 3.144, I = 100
2θ 47.21, d 1.925, I = 49
2θ 56.01, d 1.642, I = 47
2θ 32.89, d 2.723, I = 37
2θ 76.21, d 1.249, I = 20
2θ 78.56, d 1.218, I = 15
2θ 58.73, d 1.572, I = 11
2θ 87.83, d 1.112, I = 10
2θ 68.98, d 1.361, I = 8
2θ 87.81, d 1.112, I = 7